Diffraction record for Ta2MnO6. The powder X-ray diffraction pattern is computed, not measured: it uses a structure optimized by DFT (GGA+U) and Cu Kα.
Lines closer than 0.1° are merged.

Structure:
Unit cell a=4.834 b=4.834 c=9.380 alpha=90.00 beta=90.00 gamma=90.00
Atoms (fractional coordinates):
Ta1 0.000 0.000 0.168
Ta2 0.000 0.000 0.832
Ta3 0.500 0.500 0.332
Ta4 0.500 0.500 0.668
Mn1 0.000 0.000 0.500
Mn2 0.500 0.500 0.000
O1 0.184 0.184 0.000
O2 0.207 0.207 0.318
O3 0.207 0.207 0.682
O4 0.293 0.707 0.182
O5 0.293 0.707 0.818
O6 0.316 0.684 0.500
O7 0.684 0.316 0.500
O8 0.707 0.293 0.182
O9 0.707 0.293 0.818
O10 0.793 0.793 0.318
O11 0.793 0.793 0.682
O12 0.816 0.816 0.000

Most intense lines, 10 to 90 degrees two-theta, by intensity:
h k l	Position (°2θ)	I (rel.)
1 1 0	26.1	100
1 0 3	34.2	81
2 1 3	51.4	65
1 0 1	20.7	30
2 0 0	37.2	25
3 0 3	65.1	19
2 2 0	53.6	17
3 1 0	60.6	16
1 1 6	65.7	15
3 2 3	77.5	14


Diffraction record for TaMnO4. The powder X-ray diffraction pattern is computed, not measured: it uses a structure optimized by DFT (GGA+U) and Cu Kα.
Lines closer than 0.1° are merged.

Structure:
Unit cell a=4.723 b=5.066 c=5.779 alpha=87.22 beta=85.98 gamma=88.08
Atoms (fractional coordinates):
Ta1 0.013 0.247 0.167
Ta2 0.987 0.753 0.833
Mn1 0.499 0.253 0.656
Mn2 0.501 0.747 0.344
O1 0.218 0.566 0.105
O2 0.223 0.079 0.880
O3 0.267 0.066 0.367
O4 0.274 0.585 0.614
O5 0.726 0.415 0.386
O6 0.733 0.934 0.633
O7 0.777 0.921 0.120
O8 0.782 0.434 0.895

Most intense lines, 10 to 90 degrees two-theta, by intensity:
h k l	Position (°2θ)	I (rel.)
1 1 1	28.7	100
1 0 0	18.8	92
1 1 -1	31.0	89
1 -1 1	30.3	84
-1 1 1	30.8	67
1 0 -1	25.2	62
0 2 0	35.5	58
1 0 1	23.6	50
0 1 1	22.9	45
0 1 2	35.1	45